1.
Theoretical PXRD pattern of PmThMnN4 for Cu Kα, 1.54184 Å, from the GGA-PBE geometry in Alexandria.
Neutral-atom scattering factors, no anomalous dispersion.

Top 12 peaks for 2θ from 10° to 90°, low angle first:
2θ 25.00, I 38, hkl 1 0 1
2θ 28.00, I 17, hkl 0 0 4
2θ 32.03, I 100, hkl 1 0 3
2θ 34.18, I 57, hkl 1 1 0
2θ 42.55, I 11, hkl 0 0 6
2θ 44.75, I 28, hkl 1 1 4
2θ 49.11, I 25, hkl 2 0 0
2θ 55.67, I 15, hkl 1 1 6
2θ 56.28, I 15, hkl 1 0 7
2θ 59.84, I 35, hkl 2 1 3
2θ 66.97, I 11, hkl 2 0 6
2θ 77.89, I 12, hkl 2 1 7

Cell and atoms:
Lattice parameters (Å, degrees): 3.7100 3.7100 12.7468 90.00 90.00 90.00
Space group I4mm (No. 107)
Unique sites:
Pm: 0.0000 0.0000 0.0000 [2 per cell]
Th: 0.0000 0.0000 0.2891 [2 per cell]
Mn: 0.0000 0.0000 0.6437 [2 per cell]
N: 0.0000 0.0000 0.4708 [2 per cell]
N: 0.0000 0.0000 0.8124 [2 per cell]
N: 0.0000 0.5000 0.1461 [4 per cell]

2.
Theoretical PXRD pattern of Ce6PuH3 for Cu Kα, 1.54184 Å, from the GGA-PBE geometry in Alexandria.
Neutral-atom scattering factors, no anomalous dispersion.

Top 12 peaks for 2θ from 10° to 90°, low angle first:
2θ 14.26, I 12, hkl 0 0 3
2θ 17.45, I 30, hkl 1 0 1
2θ 19.31, I 21, hkl 0 1 2
2θ 28.75, I 15, hkl 0 0 6
2θ 32.70, I 100, hkl 1 1 3
2θ 41.49, I 39, hkl 1 1 6
2θ 51.92, I 30, hkl 3 0 0
2θ 53.49, I 25, hkl 2 -1 9
2θ 60.42, I 10, hkl 3 0 6
2θ 62.72, I 15, hkl 4 -2 3
2θ 82.89, I 14, hkl 3 0 12
2θ 85.69, I 12, hkl 4 1 3

Cell and atoms:
Lattice parameters (Å, degrees): 6.1014 6.1014 18.6332 90.00 90.00 120.00
Space group R-3 (No. 148, hexagonal axes)
Unique sites:
Ce: 0.0000 0.3189 0.4177 [18 per cell]
Pu: 0.0000 0.0000 0.5000 [3 per cell]
H: 0.0000 0.0000 0.0000 [3 per cell]
H: 0.0000 0.0000 0.3257 [6 per cell]

3.
Theoretical PXRD pattern of Pa2Cu5Ni5 for Cu Kα, 1.54184 Å, from the GGA-PBE geometry in Alexandria.
Neutral-atom scattering factors, no anomalous dispersion.

Top 12 peaks for 2θ from 10° to 90°, low angle first:
2θ 21.52, I 13, hkl 1 0 0
2θ 30.24, I 29, hkl 1 0 2
2θ 30.36, I 53, hkl 1 1 1
2θ 36.89, I 26, hkl 0 1 3
2θ 42.74, I 14, hkl 0 0 4
2θ 43.10, I 100, hkl 1 1 3
2θ 43.36, I 36, hkl 1 2 0
2θ 43.84, I 30, hkl 2 0 0
2θ 58.60, I 14, hkl 2 1 3
2θ 62.87, I 16, hkl 2 0 4
2θ 63.16, I 17, hkl 2 2 2
2θ 71.12, I 16, hkl 1 3 3

Cell and atoms:
Lattice parameters (Å, degrees): 4.1300 4.8361 8.4625 90.00 90.00 90.00
Space group Pmmm (No. 47)
Unique sites:
Pa: 0.0000 0.0000 0.0000 [1 per cell]
Pa: 0.0000 0.5000 0.5000 [1 per cell]
Cu: 0.5000 0.0000 0.5000 [1 per cell]
Cu: 0.5000 0.2505 0.2494 [4 per cell]
Ni: 0.0000 0.0000 0.3351 [2 per cell]
Ni: 0.0000 0.5000 0.1652 [2 per cell]
Ni: 0.5000 0.5000 0.0000 [1 per cell]

4.
Theoretical PXRD pattern of Tl7InHg12 for Cu Kα, 1.54184 Å, from the GGA-PBE geometry in Alexandria.
Neutral-atom scattering factors, no anomalous dispersion.

Top 12 peaks for 2θ from 10° to 90°, low angle first:
2θ 24.52, I 12, hkl 1 1 3
2θ 31.23, I 100, hkl 1 3 1
2θ 32.23, I 35, hkl 0 3 3
2θ 33.31, I 46, hkl 4 -1 2
2θ 34.14, I 19, hkl 0 1 5
2θ 34.72, I 50, hkl 3 -1 4
2θ 37.28, I 18, hkl 2 0 5
2θ 39.49, I 12, hkl 5 -3 2
2θ 54.54, I 11, hkl 7 -4 2
2θ 57.07, I 17, hkl 1 4 6
2θ 58.23, I 12, hkl 7 -2 3
2θ 59.22, I 13, hkl 1 2 8

Cell and atoms:
Lattice parameters (Å, degrees): 12.1988 12.1988 13.5577 90.00 90.00 120.00
Space group R-3 (No. 148, hexagonal axes)
Unique sites:
Tl: 0.0000 0.0000 0.0000 [3 per cell]
Tl: 0.0512 0.8648 0.2943 [18 per cell]
In: 0.0000 0.0000 0.5000 [3 per cell]
Hg: 0.0383 0.5812 0.2109 [18 per cell]
Hg: 0.0620 0.4602 0.5818 [18 per cell]

5.
Theoretical PXRD pattern of Rb2GaPtF6 for Cu Kα, 1.54184 Å, from the GGA-PBE geometry in Alexandria.
Neutral-atom scattering factors, no anomalous dispersion.

Top 12 peaks for 2θ from 10° to 90°, low angle first:
2θ 17.31, I 17, hkl 1 0 1
2θ 19.10, I 16, hkl 1 1 0
2θ 27.14, I 62, hkl 2 0 0
2θ 29.08, I 100, hkl 1 1 2
2θ 32.37, I 17, hkl 2 1 1
2θ 38.76, I 40, hkl 2 2 0
2θ 44.29, I 15, hkl 0 0 4
2θ 49.18, I 42, hkl 3 1 2
2θ 52.72, I 20, hkl 2 0 4
2θ 60.29, I 21, hkl 2 2 4
2θ 77.69, I 13, hkl 5 1 2
2θ 80.49, I 14, hkl 4 2 4

Cell and atoms:
Lattice parameters (Å, degrees): 6.5708 6.5708 8.1810 90.00 90.00 90.00
Space group I4/mmm (No. 139)
Unique sites:
Rb: 0.0000 0.5000 0.2500 [4 per cell]
Ga: 0.0000 0.0000 0.0000 [2 per cell]
Pt: 0.0000 0.0000 0.5000 [2 per cell]
F: 0.0000 0.0000 0.2472 [4 per cell]
F: 0.2037 0.2037 0.0000 [8 per cell]

6.
Theoretical PXRD pattern of KU2PdSe5 for Cu Kα, 1.54184 Å, from the GGA-PBE geometry in Alexandria.
Neutral-atom scattering factors, no anomalous dispersion.

Top 12 peaks for 2θ from 10° to 90°, low angle first:
2θ 11.90, I 70, hkl 0 0 2
2θ 16.01, I 28, hkl 1 1 0
2θ 25.72, I 19, hkl 2 0 2
2θ 26.14, I 17, hkl 2 1 1
2θ 31.28, I 100, hkl 2 1 3
2θ 36.28, I 29, hkl 3 1 0
2θ 38.31, I 37, hkl 3 1 2
2θ 39.77, I 60, hkl 2 1 5
2θ 49.01, I 14, hkl 0 0 8
2θ 52.22, I 24, hkl 4 2 0
2θ 67.08, I 17, hkl 5 2 3
2θ 72.36, I 23, hkl 6 0 0

Cell and atoms:
Lattice parameters (Å, degrees): 7.8302 7.8302 14.8679 90.00 90.00 90.00
Space group I4/mcm (No. 140)
Unique sites:
K: 0.0000 0.0000 0.2500 [4 per cell]
U: 0.1554 0.3446 0.0000 [8 per cell]
Pd: 0.0000 0.5000 0.2500 [4 per cell]
Se: 0.0000 0.0000 0.0000 [4 per cell]
Se: 0.1484 0.3516 0.3791 [16 per cell]

7.
Theoretical PXRD pattern of LaTa3O9 for Cu Kα, 1.54184 Å, from the GGA-PBE geometry in Alexandria.
Neutral-atom scattering factors, no anomalous dispersion.

Top 12 peaks for 2θ from 10° to 90°, low angle first:
2θ 22.94, I 64, hkl 0 2 0
2θ 26.96, I 31, hkl 0 2 2
2θ 27.58, I 62, hkl 1 2 1
2θ 28.16, I 50, hkl 0 0 4
2θ 30.47, I 100, hkl 2 0 2
2θ 31.29, I 23, hkl 1 0 4
2θ 34.19, I 43, hkl 1 2 3
2θ 38.48, I 30, hkl 2 2 2
2θ 46.87, I 31, hkl 0 4 0
2θ 51.14, I 29, hkl 1 2 6
2θ 55.56, I 23, hkl 0 4 4
2θ 56.93, I 43, hkl 2 4 2

Cell and atoms:
Lattice parameters (Å, degrees): 6.6198 7.7536 12.6763 90.00 90.00 90.00
Space group Pnma (No. 62)
Unique sites:
La: 0.0507 0.2500 0.0268 [4 per cell]
Ta: 0.0000 0.0000 0.5000 [4 per cell]
Ta: 0.2167 0.0021 0.7846 [8 per cell]
O: 0.0263 0.0313 0.6563 [8 per cell]
O: 0.0629 0.7500 0.5196 [4 per cell]
O: 0.0913 0.0205 0.1669 [8 per cell]
O: 0.1901 0.2500 0.8180 [4 per cell]
O: 0.2066 0.7500 0.7984 [4 per cell]
O: 0.2141 0.5269 0.9582 [8 per cell]

What did the first record say?
Theoretical PXRD pattern of PmThMnN4 for Cu Kα, 1.54184 Å, from the GGA-PBE geometry in Alexandria.
Neutral-atom scattering factors, no anomalous dispersion.

Top 12 peaks for 2θ from 10° to 90°, low angle first:
2θ 25.00, I 38, hkl 1 0 1
2θ 28.00, I 17, hkl 0 0 4
2θ 32.03, I 100, hkl 1 0 3
2θ 34.18, I 57, hkl 1 1 0
2θ 42.55, I 11, hkl 0 0 6
2θ 44.75, I 28, hkl 1 1 4
2θ 49.11, I 25, hkl 2 0 0
2θ 55.67, I 15, hkl 1 1 6
2θ 56.28, I 15, hkl 1 0 7
2θ 59.84, I 35, hkl 2 1 3
2θ 66.97, I 11, hkl 2 0 6
2θ 77.89, I 12, hkl 2 1 7

Cell and atoms:
Lattice parameters (Å, degrees): 3.7100 3.7100 12.7468 90.00 90.00 90.00
Space group I4mm (No. 107)
Unique sites:
Pm: 0.0000 0.0000 0.0000 [2 per cell]
Th: 0.0000 0.0000 0.2891 [2 per cell]
Mn: 0.0000 0.0000 0.6437 [2 per cell]
N: 0.0000 0.0000 0.4708 [2 per cell]
N: 0.0000 0.0000 0.8124 [2 per cell]
N: 0.0000 0.5000 0.1461 [4 per cell]